Record 1
This entry pairs a crystal structure of HoAlAu2 with its computed powder diffractogram. Radiation: Cu Kα. Structure: a cell relaxed with GGA-PBE.

Structure:
Lattice parameters (Å, degrees): 6.8143 6.8143 6.8143 90.00 90.00 90.00
Positions (direct):
1 Ho 0.0000 0.0000 0.0000
2 Ho 0.0000 0.5000 0.5000
3 Ho 0.5000 0.0000 0.5000
4 Ho 0.5000 0.5000 0.0000
5 Al 0.0000 0.0000 0.5000
6 Al 0.0000 0.5000 0.0000
7 Al 0.5000 0.0000 0.0000
8 Al 0.5000 0.5000 0.5000
9 Au 0.2500 0.2500 0.2500
10 Au 0.2500 0.2500 0.7500
11 Au 0.2500 0.7500 0.2500
12 Au 0.2500 0.7500 0.7500
13 Au 0.7500 0.2500 0.2500
14 Au 0.7500 0.2500 0.7500
15 Au 0.7500 0.7500 0.2500
16 Au 0.7500 0.7500 0.7500

Top 6 peaks for 10 to 80 degrees two-theta, by intensity:
37.3°, d = 2.409 Å, rel. 100; 67.3°, d = 1.391 Å, rel. 36; 53.8°, d = 1.704 Å, rel. 18; 26.2°, d = 3.407 Å, rel. 15; 22.6°, d = 3.934 Å, rel. 13; 79.6°, d = 1.205 Å, rel. 12

***

Record 2
This entry pairs a crystal structure of VTe2 with its computed powder diffractogram. Radiation: Cu Kα. Structure: a cell relaxed with GGA-PBE.

Structure:
Lattice parameters (Å, degrees): 7.6256 7.6256 9.3661 111.79 111.79 27.12
Positions (direct):
1 V 0.0000 0.0000 0.0000
2 V 0.3615 0.3615 0.7091
3 V 0.6385 0.6385 0.2909
4 Te 0.0096 0.0096 0.3011
5 Te 0.2904 0.2904 0.3854
6 Te 0.3567 0.3567 0.9800
7 Te 0.6433 0.6433 0.0200
8 Te 0.7096 0.7096 0.6146
9 Te 0.9904 0.9904 0.6989

Top 6 peaks for 10 to 80 degrees two-theta, by intensity:
31.8°, d = 2.816 Å, rel. 100; 31.5°, d = 2.838 Å, rel. 62; 31.0°, d = 2.886 Å, rel. 44; 26.3°, d = 3.389 Å, rel. 35; 50.3°, d = 1.813 Å, rel. 28; 39.5°, d = 2.281 Å, rel. 28

***

Record 3
This entry pairs a crystal structure of PaTiTc2 with its computed powder diffractogram. Radiation: Cu Kα. Structure: a cell relaxed with GGA-PBE.

Structure:
Lattice parameters (Å, degrees): 6.5644 6.5644 6.5644 90.00 90.00 90.00
Positions (direct):
1 Pa 0.0000 0.0000 0.0000
2 Pa 0.0000 0.5000 0.5000
3 Pa 0.5000 0.0000 0.5000
4 Pa 0.5000 0.5000 0.0000
5 Ti 0.0000 0.0000 0.5000
6 Ti 0.0000 0.5000 0.0000
7 Ti 0.5000 0.0000 0.0000
8 Ti 0.5000 0.5000 0.5000
9 Tc 0.2500 0.2500 0.2500
10 Tc 0.2500 0.2500 0.7500
11 Tc 0.2500 0.7500 0.2500
12 Tc 0.2500 0.7500 0.7500
13 Tc 0.7500 0.2500 0.2500
14 Tc 0.7500 0.2500 0.7500
15 Tc 0.7500 0.7500 0.2500
16 Tc 0.7500 0.7500 0.7500

Top 6 peaks for 10 to 80 degrees two-theta, by intensity:
38.8°, d = 2.321 Å, rel. 100; 70.2°, d = 1.340 Å, rel. 34; 23.5°, d = 3.790 Å, rel. 33; 45.8°, d = 1.979 Å, rel. 18; 56.0°, d = 1.641 Å, rel. 17; 61.6°, d = 1.506 Å, rel. 8

***

Record 4
This entry pairs a crystal structure of Cs2ThCl6 with its computed powder diffractogram. Radiation: Cu Kα. Structure: a cell relaxed with GGA-PBE.

Structure:
Lattice parameters (Å, degrees): 7.7917 7.7917 6.2379 90.00 90.00 120.00
Positions (direct):
1 Cs 0.3333 0.6667 0.2395
2 Cs 0.6667 0.3333 0.7605
3 Th 0.0000 0.0000 0.5000
4 Cl 0.1669 0.3339 0.7368
5 Cl 0.1669 0.8331 0.7368
6 Cl 0.3339 0.1669 0.2632
7 Cl 0.6661 0.8331 0.7368
8 Cl 0.8331 0.1669 0.2632
9 Cl 0.8331 0.6661 0.2632

Top 6 peaks for 10 to 80 degrees two-theta, by intensity:
19.4°, d = 4.581 Å, rel. 100; 30.1°, d = 2.968 Å, rel. 95; 22.8°, d = 3.896 Å, rel. 71; 39.3°, d = 2.290 Å, rel. 43; 31.6°, d = 2.831 Å, rel. 38; 38.1°, d = 2.361 Å, rel. 37